For K3Li2VF8, a DFT-relaxed cell (PBE+U, Alexandria) gives the calculated PXRD pattern in this record (CuKα).
Peak positions follow from Bragg's law for the DFT cell and can differ from measured ones.

Cell and atoms:
```
data_K3Li2VF8
_chemical_formula_sum 'K3 Li2 V1 F8'
_cell_length_a 5.741
_cell_length_b 5.741
_cell_length_c 7.573
_cell_angle_alpha 90.00
_cell_angle_beta 90.00
_cell_angle_gamma 120.00
_space_group_name_H-M_alt 'P 1'
_space_group_IT_number 1
_space_group_name_Hall 'P 1'
loop_
_atom_site_label
_atom_site_type_symbol
_atom_site_fract_x
_atom_site_fract_y
_atom_site_fract_z
K1 K 0.000 0.000 0.000
K2 K 0.333 0.667 0.673
K3 K 0.667 0.333 0.327
Li1 Li 0.333 0.667 0.227
Li2 Li 0.667 0.333 0.773
V1 V 0.000 0.000 0.500
F1 F 0.161 0.322 0.347
F2 F 0.161 0.839 0.347
F3 F 0.322 0.161 0.653
F4 F 0.333 0.667 0.995
F5 F 0.667 0.333 0.005
F6 F 0.678 0.839 0.347
F7 F 0.839 0.161 0.653
F8 F 0.839 0.678 0.653
```

Top 12 peaks for 10° ≤ 2θ ≤ 80°, low angle first:
hkl  2theta  I (rel.)
0 0 1  11.69  62
1 0 0  17.84  31
0 1 1  21.38  24
0 1 2  29.66  61
1 1 0  31.16  100
0 0 3  35.57  33
0 2 1  38.10  64
1 1 2  39.39  23
2 0 2  43.55  81
2 0 3  51.62  28
0 2 4  61.57  27
2 2 0  64.98  30